(1)
Theoretical powder diffraction line list of CsPu4Cu3Se12 for Cu Kα (λ = 1.5418 Å), from a PBE-relaxed structure.
Kinematic intensities with the Lorentz-polarization factor, no thermal factor.

Most intense lines, 15 to 90 degrees two-theta, sorted by position:
17.3°, I 37.0; 24.5°, I 100.0; 27.4°, I 39.9; 32.6°, I 20.4; 34.9°, I 31.6; 39.2°, I 39.5; 43.1°, I 98.3; 56.6°, I 31.3; 68.3°, I 24.3; 79.0°, I 34.8

Lattice parameters (Å, degrees): 8.903 8.903 8.903 109.47 109.47 109.47
Positions (direct):
Cs 0.000 0.000 0.000
Pu 0.000 0.000 0.500
Pu 0.000 0.500 0.000
Pu 0.500 0.000 0.000
Pu 0.500 0.500 0.500
Cu 0.000 0.500 0.500
Cu 0.500 0.000 0.500
Cu 0.500 0.500 0.000
Se 0.164 0.329 0.493
Se 0.164 0.671 0.834
Se 0.166 0.836 0.329
Se 0.329 0.166 0.836
Se 0.329 0.493 0.164
Se 0.493 0.164 0.329
Se 0.507 0.836 0.671
Se 0.671 0.507 0.836
Se 0.671 0.834 0.164
Se 0.834 0.164 0.671
Se 0.836 0.329 0.166
Se 0.836 0.671 0.507



(2)
Theoretical powder diffraction line list of Rb2Cd3 for Cu Kα (λ = 1.5418 Å), from a PBE-relaxed structure.
Kinematic intensities with the Lorentz-polarization factor, no thermal factor.

Most intense lines, 15 to 90 degrees two-theta, sorted by position:
25.2°, I 43.2; 26.5°, I 89.5; 32.7°, I 64.7; 35.7°, I 100.0; 36.7°, I 53.7; 44.2°, I 55.9; 45.0°, I 20.7; 47.8°, I 26.9; 49.2°, I 19.8; 56.2°, I 23.8

Lattice parameters (Å, degrees): 5.029 5.029 10.589 90.00 90.00 120.00
Positions (direct):
Rb 0.333 0.667 0.201
Rb 0.667 0.333 0.799
Cd 0.000 0.000 0.500
Cd 0.333 0.667 0.554
Cd 0.667 0.333 0.446



(3)
Theoretical powder diffraction line list of PmSmTm2Hg4 for Cu Kα (λ = 1.5418 Å), from a PBE-relaxed structure.
Kinematic intensities with the Lorentz-polarization factor, no thermal factor.

Most intense lines, 15 to 90 degrees two-theta, sorted by position:
23.8°, I 1.6; 33.9°, I 100.0; 41.8°, I 0.6; 48.6°, I 18.3; 54.8°, I 0.8; 60.6°, I 38.1; 71.2°, I 11.9; 81.3°, I 16.9

Lattice parameters (Å, degrees): 9.174 9.174 9.174 33.54 33.54 33.54
Positions (direct):
Pm 0.000 0.000 0.000
Sm 0.500 0.500 0.500
Tm 0.250 0.250 0.250
Tm 0.750 0.750 0.750
Hg 0.125 0.125 0.125
Hg 0.375 0.375 0.375
Hg 0.625 0.625 0.625
Hg 0.875 0.875 0.875